Structure and simulated XRD peak list of Pr3Dy5 (a crystal structure in Alexandria, relaxed with PBE; CuKα).

Largest 8 diffraction maxima, by intensity, 15° ≤ 2θ ≤ 90°:
- (1 0 4), 30.33°, d = 2.947 Å, I = 100
- (2 0 0), 50.59°, d = 1.804 Å, I = 36
- (1 1 0), 35.13°, d = 2.555 Å, I = 34
- (2 1 4), 60.08°, d = 1.540 Å, I = 29
- (0 0 8), 35.25°, d = 2.546 Å, I = 17
- (1 0 12), 60.24°, d = 1.536 Å, I = 14
- (2 0 8), 63.10°, d = 1.473 Å, I = 12
- (2 1 12), 82.41°, d = 1.170 Å, I = 12

Structure:
```
data_Pr3Dy5
_chemical_formula_sum 'Pr3 Dy5'
_cell_length_a 3.6127
_cell_length_b 3.6127
_cell_length_c 20.3693
_cell_angle_alpha 90.00
_cell_angle_beta 90.00
_cell_angle_gamma 90.00
_space_group_name_H-M_alt 'P 4/m m m'
_space_group_IT_number 123
_space_group_name_Hall '-P 4 2'
loop_
_atom_site_label
_atom_site_type_symbol
_atom_site_fract_x
_atom_site_fract_y
_atom_site_fract_z
Pr1 Pr 0.0000 0.0000 0.0000
Pr2 Pr 0.5000 0.5000 0.3737
Dy1 Dy 0.0000 0.0000 0.2473
Dy2 Dy 0.0000 0.0000 0.5000
Dy3 Dy 0.5000 0.5000 0.1261
```

***

Structure and simulated XRD peak list of RbTlCd2Hg8 (a crystal structure in Alexandria, relaxed with PBE; CuKα).

Largest 8 diffraction maxima, by intensity, 15° ≤ 2θ ≤ 90°:
- (0 2 2), 31.92°, d = 2.804 Å, I = 100
- (2 2 1), 36.23°, d = 2.480 Å, I = 48
- (2 2 -1), 31.75°, d = 2.818 Å, I = 27
- (3 1 -1), 29.16°, d = 3.062 Å, I = 26
- (0 0 4), 34.96°, d = 2.567 Å, I = 24
- (2 0 -1), 16.95°, d = 5.230 Å, I = 18
- (1 1 -4), 34.57°, d = 2.595 Å, I = 15
- (4 0 0), 38.44°, d = 2.342 Å, I = 15

Structure:
```
data_RbTlCd2Hg8
_chemical_formula_sum 'Rb2 Tl2 Cd4 Hg16'
_cell_length_a 10.4601
_cell_length_b 6.6902
_cell_length_c 11.4645
_cell_angle_alpha 90.00
_cell_angle_beta 116.42
_cell_angle_gamma 90.00
_space_group_name_H-M_alt 'C 1 2/m 1'
_space_group_IT_number 12
_space_group_name_Hall '-C 2y'
loop_
_atom_site_label
_atom_site_type_symbol
_atom_site_fract_x
_atom_site_fract_y
_atom_site_fract_z
Rb1 Rb 0.0000 0.0000 0.0000
Tl1 Tl 0.0000 0.5000 0.5000
Cd1 Cd 0.1332 0.5000 0.2888
Hg1 Hg 0.1385 0.0000 0.4300
Hg2 Hg 0.1443 0.5000 0.9919
Hg3 Hg 0.1464 0.2437 0.7589
```

***

Structure and simulated XRD peak list of Ac2ZnGaCu6 (a crystal structure in Alexandria, relaxed with PBE; CuKα).

Largest 8 diffraction maxima, by intensity, 15° ≤ 2θ ≤ 90°:
- (2 0 2), 33.13°, d = 2.704 Å, I = 100
- (2 0 0), 26.92°, d = 3.311 Å, I = 99
- (2 2 0), 38.44°, d = 2.342 Å, I = 99
- (4 0 0), 55.50°, d = 1.656 Å, I = 67
- (3 1 2), 47.56°, d = 1.912 Å, I = 44
- (4 2 2), 66.18°, d = 1.412 Å, I = 39
- (5 1 2), 76.04°, d = 1.252 Å, I = 23
- (4 0 4), 69.54°, d = 1.352 Å, I = 22

Structure:
```
data_Ac2ZnGaCu6
_chemical_formula_sum 'Ac4 Zn2 Ga2 Cu12'
_cell_length_a 6.6238
_cell_length_b 6.6256
_cell_length_c 9.3612
_cell_angle_alpha 90.00
_cell_angle_beta 90.00
_cell_angle_gamma 90.00
_space_group_name_H-M_alt 'I m m m'
_space_group_IT_number 71
_space_group_name_Hall '-I 2 2'
loop_
_atom_site_label
_atom_site_type_symbol
_atom_site_fract_x
_atom_site_fract_y
_atom_site_fract_z
Ac1 Ac 0.0000 0.0000 0.2499
Zn1 Zn 0.0000 0.5000 0.0000
Ga1 Ga 0.0000 0.5000 0.5000
Cu1 Cu 0.0000 0.5000 0.2494
Cu2 Cu 0.2491 0.2510 0.0000
```

***

Structure and simulated XRD peak list of BaC6 (a crystal structure in Alexandria, relaxed with PBE; CuKα).

Largest 8 diffraction maxima, by intensity, 15° ≤ 2θ ≤ 90°:
- (1 0 1), 25.10°, d = 3.547 Å, I = 100
- (1 0 3), 34.49°, d = 2.600 Å, I = 44
- (1 1 2), 45.05°, d = 2.012 Å, I = 40
- (0 0 4), 33.15°, d = 2.703 Å, I = 24
- (1 0 2), 28.95°, d = 3.084 Å, I = 23
- (1 0 0), 23.69°, d = 3.755 Å, I = 19
- (1 0 5), 48.59°, d = 1.874 Å, I = 16
- (2 0 1), 49.25°, d = 1.850 Å, I = 16

Structure:
```
data_BaC6
_chemical_formula_sum 'Ba2 C12'
_cell_length_a 4.3363
_cell_length_b 4.3363
_cell_length_c 10.8110
_cell_angle_alpha 90.00
_cell_angle_beta 90.00
_cell_angle_gamma 120.00
_space_group_name_H-M_alt 'P 63/m m c'
_space_group_IT_number 194
_space_group_name_Hall '-P 6c 2c'
loop_
_atom_site_label
_atom_site_type_symbol
_atom_site_fract_x
_atom_site_fract_y
_atom_site_fract_z
Ba1 Ba 0.3333 0.6667 0.2500
C1 C 0.0000 0.3334 0.0000
```

***

Structure and simulated XRD peak list of Ca2VTcN5 (a crystal structure in Alexandria, relaxed with PBE; CuKα).

Largest 8 diffraction maxima, by intensity, 15° ≤ 2θ ≤ 90°:
- (1 1 3), 38.33°, d = 2.348 Å, I = 100
- (1 3 1), 34.97°, d = 2.566 Å, I = 74
- (0 2 2), 21.38°, d = 4.157 Å, I = 67
- (0 0 2), 16.89°, d = 5.249 Å, I = 54
- (0 6 1), 40.68°, d = 2.218 Å, I = 46
- (0 2 3), 28.68°, d = 3.112 Å, I = 40
- (1 5 2), 46.80°, d = 1.941 Å, I = 32
- (0 4 2), 31.32°, d = 2.856 Å, I = 30

Structure:
```
data_Ca2VTcN5
_chemical_formula_sum 'Ca8 V4 Tc4 N20'
_cell_length_a 3.2571
_cell_length_b 13.6162
_cell_length_c 10.4972
_cell_angle_alpha 90.00
_cell_angle_beta 90.00
_cell_angle_gamma 90.00
_space_group_name_H-M_alt 'C m c 21'
_space_group_IT_number 36
_space_group_name_Hall 'C 2c -2'
loop_
_atom_site_label
_atom_site_type_symbol
_atom_site_fract_x
_atom_site_fract_y
_atom_site_fract_z
Ca1 Ca 0.0000 0.0967 0.0000
Ca2 Ca 0.0000 0.1324 0.6459
V1 V 0.0000 0.4382 0.7637
Tc1 Tc 0.0000 0.2216 0.3667
N1 N 0.0000 0.0460 0.3500
N2 N 0.0000 0.2904 0.9692
N3 N 0.0000 0.3088 0.7213
N4 N 0.0000 0.3490 0.3324
N5 N 0.0000 0.5000 0.1191
```

***

Structure and simulated XRD peak list of SrPuCu2O8 (a crystal structure in Alexandria, relaxed with PBE; CuKα).

Largest 8 diffraction maxima, by intensity, 15° ≤ 2θ ≤ 90°:
- (2 0 0), 25.55°, d = 3.486 Å, I = 100
- (1 1 2), 31.83°, d = 2.812 Å, I = 86
- (3 1 2), 49.15°, d = 1.854 Å, I = 66
- (1 0 1), 18.16°, d = 4.885 Å, I = 57
- (1 1 0), 17.99°, d = 4.930 Å, I = 27
- (2 2 0), 36.45°, d = 2.465 Å, I = 23
- (3 3 2), 62.71°, d = 1.481 Å, I = 19
- (3 0 1), 40.99°, d = 2.202 Å, I = 17

Structure:
```
data_SrPuCu2O8
_chemical_formula_sum 'Sr2 Pu2 Cu4 O16'
_cell_length_a 6.9722
_cell_length_b 6.9722
_cell_length_c 6.8457
_cell_angle_alpha 90.00
_cell_angle_beta 90.00
_cell_angle_gamma 90.00
_space_group_name_H-M_alt 'I -4 m 2'
_space_group_IT_number 119
_space_group_name_Hall 'I -4 -2'
loop_
_atom_site_label
_atom_site_type_symbol
_atom_site_fract_x
_atom_site_fract_y
_atom_site_fract_z
Sr1 Sr 0.0000 0.0000 0.0000
Pu1 Pu 0.0000 0.5000 0.7500
Cu1 Cu 0.0000 0.0000 0.5000
Cu2 Cu 0.0000 0.5000 0.2500
O1 O 0.0000 0.2180 0.6872
O2 O 0.0000 0.3400 0.0462
```